Diffraction record for Li3FeP2O8. The powder diffraction line list is computed, not measured: it uses DFT lattice parameters and positions (GGA+U) and Cu Kα (weighted mean of Kα1 and Kα2).
Lines closer than 0.1° are merged.

a = 5.132 Å, b = 5.132 Å, c = 13.563 Å
α = 97.84°, β = 97.84°, γ = 54.48°
Positions (direct):
Li 0.045 0.955 0.750
Li 0.302 0.362 0.341
Li 0.362 0.302 0.841
Li 0.638 0.698 0.159
Li 0.698 0.638 0.659
Li 0.955 0.045 0.250
Fe 0.000 0.000 0.000
Fe 0.000 0.000 0.500
P 0.325 0.359 0.115
P 0.359 0.325 0.615
P 0.641 0.675 0.385
P 0.675 0.641 0.885
O 0.033 0.339 0.085
O 0.172 0.504 0.709
O 0.194 0.724 0.133
O 0.217 0.559 0.532
O 0.276 0.806 0.367
O 0.339 0.033 0.585
O 0.441 0.783 0.968
O 0.496 0.828 0.791
O 0.504 0.172 0.209
O 0.559 0.217 0.032
O 0.661 0.967 0.415
O 0.724 0.194 0.633
O 0.783 0.441 0.468
O 0.806 0.276 0.867
O 0.828 0.496 0.291
O 0.967 0.661 0.915

Largest 8 diffraction maxima, low angle first, 2θ from 10° to 90°:
2θ/deg	I_rel
13.21	737
24.34	1000
25.45	498
33.10	345
35.45	492
38.63	284
53.41	136
58.39	162